Pu3Zn2Pt4: theoretical XRD peak list (λ = 1.5418 Å (Cu Kα)), based on a PBE-relaxed structure.

Crystal structure
```
data_Pu3Zn2Pt4
_space_group_name_H-M_alt 'P -3 m 1'
_space_group_IT_number 164
_space_group_name_Hall '-P 3 2"'
_cell_length_a 4.5040
_cell_length_b 4.5040
_cell_length_c 9.9019
_cell_angle_alpha 90.00
_cell_angle_beta 90.00
_cell_angle_gamma 120.00
loop_
_atom_site_label
_atom_site_fract_x
_atom_site_fract_y
_atom_site_fract_z
_atom_site_occupancy
Pu1 0.0000 0.0000 0.0000 1
Pu2 0.3333 0.6667 0.5661 1
Zn1 0.3333 0.6667 0.2141 1
Pt1 0.0000 0.0000 0.3120 1
Pt2 0.3333 0.6667 0.8550 1
```

Main lines, low angle first (2θ from 5° to 70°):
| 2θ/deg | d_spacing | I (rel.) |
| --- | --- | --- |
| 24.53 | 3.629 | 27 |
| 35.63 | 2.520 | 100 |
| 40.04 | 2.252 | 82 |
| 43.29 | 2.090 | 19 |
| 47.52 | 1.914 | 5 |
| 54.66 | 1.679 | 30 |
| 60.43 | 1.532 | 7 |
| 60.96 | 1.520 | 13 |
| 63.83 | 1.458 | 4 |
| 69.88 | 1.346 | 29 |